No. 1
For LiNiPO4, a GGA+U-relaxed structure gives the calculated X-ray diffraction stick pattern in this record (λ = 1.5418 Å (Cu Kα)).
Neutral-atom scattering factors, no anomalous dispersion.

Principal peaks in the range 2θ = 10–90°, in order of falling intensity:
24.60°, rel. 100, hkl 1 1 1
21.84°, rel. 76, hkl 1 0 -2
20.14°, rel. 53, hkl 0 1 1
27.10°, rel. 48, hkl 1 0 2
20.55°, rel. 45, hkl 1 1 0
32.52°, rel. 42, hkl 2 1 -2

Structure:
```
data_LiNiPO4
_cell_length_a 7.9309
_cell_length_b 5.2296
_cell_length_c 8.4775
_cell_angle_alpha 90.00
_cell_angle_beta 104.58
_cell_angle_gamma 90.00
_space_group_name_H-M_alt 'P 1 c 1'
_space_group_IT_number 7
_space_group_name_Hall 'P -2yc'
loop_
_atom_site_label
_atom_site_type_symbol
_atom_site_fract_x
_atom_site_fract_y
_atom_site_fract_z
Li1 Li 0.0000 0.1606 0.0000
Li2 Li 0.4819 0.3234 0.6745
Ni1 Ni 0.0796 0.3325 0.3436
Ni2 Ni 0.6157 0.1770 0.0582
P1 P 0.3795 0.1777 0.3030
P2 P 0.8672 0.3222 0.6267
O1 O 0.0030 0.3071 0.7948
O2 O 0.1973 0.1800 0.1794
O3 O 0.3426 0.3178 0.4532
O4 O 0.4467 0.0990 0.8495
O5 O 0.5157 0.3191 0.2314
O6 O 0.6992 0.1772 0.6324
O7 O 0.8341 0.3820 0.0968
O8 O 0.9412 0.2070 0.4898
```

=====

No. 2
For LiNiPO4, a GGA+U-relaxed structure gives the calculated X-ray diffraction stick pattern in this record (λ = 1.5418 Å (Cu Kα)).
Neutral-atom scattering factors, no anomalous dispersion.

Principal peaks in the range 2θ = 10–90°, in order of falling intensity:
21.90°, rel. 100, hkl 2 0 1
22.07°, rel. 97, hkl 0 1 1
42.75°, rel. 33, hkl 2 0 3
36.54°, rel. 33, hkl 0 2 0
36.11°, rel. 31, hkl 4 0 0
36.27°, rel. 23, hkl 2 1 2

Structure:
```
data_LiNiPO4
_cell_length_a 9.9497
_cell_length_b 4.9186
_cell_length_c 7.0170
_cell_angle_alpha 90.00
_cell_angle_beta 90.00
_cell_angle_gamma 90.00
_space_group_name_H-M_alt 'P n a 21'
_space_group_IT_number 33
_space_group_name_Hall 'P 2c -2n'
loop_
_atom_site_label
_atom_site_type_symbol
_atom_site_fract_x
_atom_site_fract_y
_atom_site_fract_z
Li1 Li 0.1528 0.1957 0.0000
Ni1 Ni 0.1483 0.2017 0.5007
P1 P 0.0967 0.6903 0.2498
O1 O 0.0552 0.2366 0.7496
O2 O 0.1187 0.3768 0.2504
O3 O 0.1611 0.8087 0.4341
O4 O 0.1632 0.8053 0.0658
```

=====

No. 3
For LiNiPO4, a GGA+U-relaxed structure gives the calculated X-ray diffraction stick pattern in this record (λ = 1.5418 Å (Cu Kα)).
Neutral-atom scattering factors, no anomalous dispersion.

Principal peaks in the range 2θ = 10–90°, in order of falling intensity:
21.60°, rel. 100, hkl 1 1 -1
27.00°, rel. 96, hkl 1 0 2
23.07°, rel. 92, hkl 2 0 0
32.48°, rel. 56, hkl 2 1 -2
28.50°, rel. 46, hkl 2 1 -1
33.47°, rel. 30, hkl 0 2 0

Structure:
```
data_LiNiPO4
_cell_length_a 7.9408
_cell_length_b 5.3539
_cell_length_c 8.4277
_cell_angle_alpha 90.00
_cell_angle_beta 103.82
_cell_angle_gamma 90.00
_space_group_name_H-M_alt 'P 1 c 1'
_space_group_IT_number 7
_space_group_name_Hall 'P -2yc'
loop_
_atom_site_label
_atom_site_type_symbol
_atom_site_fract_x
_atom_site_fract_y
_atom_site_fract_z
Li1 Li 0.0000 0.1503 0.0000
Li2 Li 0.4645 0.3407 0.2896
Ni1 Ni 0.0909 0.3386 0.3660
Ni2 Ni 0.6028 0.1638 0.6815
P1 P 0.2253 0.1663 0.7423
P2 P 0.7198 0.3355 0.0572
O1 O 0.0940 0.1730 0.5728
O2 O 0.1442 0.3024 0.8691
O3 O 0.2630 0.1123 0.2931
O4 O 0.3925 0.3063 0.7321
O5 O 0.5850 0.1956 0.1312
O6 O 0.6525 0.3942 0.5191
O7 O 0.7500 0.2123 0.8994
O8 O 0.9022 0.3161 0.1728
```

=====

No. 4
For LiNiPO4, a GGA+U-relaxed structure gives the calculated X-ray diffraction stick pattern in this record (λ = 1.5418 Å (Cu Kα)).
Neutral-atom scattering factors, no anomalous dispersion.

Principal peaks in the range 2θ = 10–90°, in order of falling intensity:
12.39°, rel. 100, hkl 0 2 0
33.84°, rel. 96, hkl 1 3 1
37.80°, rel. 33, hkl 0 0 2
28.69°, rel. 32, hkl 1 1 1
57.86°, rel. 25, hkl 2 0 2
28.00°, rel. 25, hkl 1 3 0

Structure:
```
data_LiNiPO4
_cell_length_a 4.2878
_cell_length_b 14.2917
_cell_length_c 4.7656
_cell_angle_alpha 90.00
_cell_angle_beta 90.00
_cell_angle_gamma 90.00
_space_group_name_H-M_alt 'P b c n'
_space_group_IT_number 60
_space_group_name_Hall '-P 2n 2ab'
loop_
_atom_site_label
_atom_site_type_symbol
_atom_site_fract_x
_atom_site_fract_y
_atom_site_fract_z
Li1 Li 0.0000 0.2482 0.2500
Ni1 Ni 0.0000 0.0631 0.7500
P1 P 0.0000 0.3899 0.7500
O1 O 0.1856 0.3298 0.5333
O2 O 0.2408 0.4507 0.9110
```

=====

No. 5
For LiNiP5O15, a GGA+U-relaxed structure gives the calculated X-ray diffraction stick pattern in this record (λ = 1.5418 Å (Cu Kα)).
Neutral-atom scattering factors, no anomalous dispersion.

Principal peaks in the range 2θ = 10–90°, in order of falling intensity:
19.97°, rel. 100, hkl 1 1 0
11.75°, rel. 35, hkl 0 1 1
18.69°, rel. 32, hkl 0 2 0
33.45°, rel. 26, hkl 1 3 0
28.01°, rel. 24, hkl 1 0 -4
23.29°, rel. 24, hkl 1 1 1

Structure:
```
data_LiNiP5O15
_cell_length_a 5.3847
_cell_length_b 9.4936
_cell_length_c 13.2215
_cell_angle_alpha 90.00
_cell_angle_beta 110.81
_cell_angle_gamma 90.00
_space_group_name_H-M_alt 'P 1 c 1'
_space_group_IT_number 7
_space_group_name_Hall 'P -2yc'
loop_
_atom_site_label
_atom_site_type_symbol
_atom_site_fract_x
_atom_site_fract_y
_atom_site_fract_z
Li1 Li 0.0000 0.2048 0.0000
Ni1 Ni 0.0915 0.4852 0.4191
P1 P 0.0773 0.4996 0.1697
P2 P 0.4281 0.3071 0.8324
P3 P 0.5061 0.0213 0.7695
P4 P 0.6130 0.0216 0.5638
P5 P 0.6892 0.3186 0.5040
O1 O 0.0281 0.4221 0.2597
O2 O 0.1199 0.4225 0.0770
O3 O 0.2664 0.3416 0.9023
O4 O 0.3296 0.3957 0.7213
O5 O 0.3336 0.1504 0.7877
O6 O 0.3383 0.1102 0.2404
O7 O 0.3417 0.0149 0.9826
O8 O 0.3974 0.3465 0.4684
O9 O 0.5730 0.0858 0.6694
O10 O 0.7249 0.3197 0.8825
O11 O 0.7540 0.1552 0.5349
O12 O 0.7665 0.0054 0.8632
O13 O 0.8030 0.1016 0.0856
O14 O 0.8317 0.3506 0.4275
O15 O 0.8322 0.3911 0.6205
```

=====

What is the formula in the fifth record? LiNiP5O15

=====

Copy entry 4 word for word.
For LiNiPO4, a GGA+U-relaxed structure gives the calculated X-ray diffraction stick pattern in this record (λ = 1.5418 Å (Cu Kα)).
Neutral-atom scattering factors, no anomalous dispersion.

Principal peaks in the range 2θ = 10–90°, in order of falling intensity:
12.39°, rel. 100, hkl 0 2 0
33.84°, rel. 96, hkl 1 3 1
37.80°, rel. 33, hkl 0 0 2
28.69°, rel. 32, hkl 1 1 1
57.86°, rel. 25, hkl 2 0 2
28.00°, rel. 25, hkl 1 3 0

Structure:
```
data_LiNiPO4
_cell_length_a 4.2878
_cell_length_b 14.2917
_cell_length_c 4.7656
_cell_angle_alpha 90.00
_cell_angle_beta 90.00
_cell_angle_gamma 90.00
_space_group_name_H-M_alt 'P b c n'
_space_group_IT_number 60
_space_group_name_Hall '-P 2n 2ab'
loop_
_atom_site_label
_atom_site_type_symbol
_atom_site_fract_x
_atom_site_fract_y
_atom_site_fract_z
Li1 Li 0.0000 0.2482 0.2500
Ni1 Ni 0.0000 0.0631 0.7500
P1 P 0.0000 0.3899 0.7500
O1 O 0.1856 0.3298 0.5333
O2 O 0.2408 0.4507 0.9110
```